# 1
The following is a calculated XRD peak list of MnSnP2O8. It was derived from DFT lattice parameters and positions (PBE+U), using Cu Kα.
No peak broadening, texture or thermal motion is included.

Cell and atoms:
```
MnSnP2O8
1.0
5.0385 0.0000 0.0000
0.0000 6.0914 0.0000
-0.1199 0.0000 10.2120
Mn Sn P O
2 2 4 16
Direct
0.0588 0.2500 0.2235
0.9412 0.7500 0.7765
0.4474 0.2500 0.7181
0.5526 0.7500 0.2819
0.1174 0.7500 0.1001
0.4062 0.7500 0.5910
0.5938 0.2500 0.4090
0.8826 0.2500 0.8999
0.1478 0.7500 0.9540
0.1815 0.2500 0.8654
0.2657 0.5490 0.6609
0.2657 0.9510 0.6609
0.2693 0.5542 0.1719
0.2693 0.9458 0.1719
0.2968 0.2500 0.3926
0.3204 0.7500 0.4440
0.6796 0.2500 0.5560
0.7032 0.7500 0.6074
0.7307 0.0542 0.8281
0.7307 0.4458 0.8281
0.7343 0.0491 0.3391
0.7343 0.4510 0.3391
0.8185 0.7500 0.1346
0.8522 0.2500 0.0460
```

Peak list (12 most intense, 2θ = 10–90°, sorted by position)
2θ/deg	I (rel.)
16.9	44
17.4	100
19.6	28
19.7	46
24.5	82
24.6	96
29.0	30
29.3	85
34.9	62
35.2	48
49.2	23
56.1	23

=====

# 2
The following is a calculated XRD peak list of Ti3Mn2SnP6O24. It was derived from DFT lattice parameters and positions (PBE+U), using Cu Kα.
No peak broadening, texture or thermal motion is included.

Cell and atoms:
```
Ti3Mn2SnP6O24
1.0
4.3605 2.5175 7.1107
-4.3605 2.5175 7.1107
0.0000 -5.0351 7.1107
Ti Mn Sn P O
3 2 1 6 24
Direct
0.0000 0.0000 0.0000
0.2082 0.2082 0.2082
0.4990 0.4990 0.4990
0.3535 0.3535 0.3535
0.8581 0.8581 0.8581
0.7098 0.7098 0.7098
0.1060 0.8104 0.3959
0.3082 0.6020 0.9002
0.3959 0.1060 0.8104
0.6020 0.9002 0.3082
0.8104 0.3959 0.1060
0.9002 0.3082 0.6020
0.0399 0.8516 0.2418
0.0927 0.2889 0.4410
0.1186 0.7675 0.9129
0.1670 0.9679 0.3553
0.2418 0.0399 0.8516
0.2656 0.6172 0.4143
0.2889 0.4410 0.0927
0.3536 0.5430 0.7395
0.3553 0.1670 0.9679
0.4143 0.2656 0.6172
0.4410 0.0927 0.2889
0.4647 0.6596 0.8710
0.5430 0.7395 0.3536
0.5916 0.9427 0.7982
0.6172 0.4143 0.2656
0.6596 0.8710 0.4647
0.7395 0.3536 0.5430
0.7675 0.9129 0.1186
0.7982 0.5916 0.9427
0.8516 0.2418 0.0399
0.8710 0.4647 0.6596
0.9129 0.1186 0.7675
0.9427 0.7982 0.5916
0.9679 0.3553 0.1670
```

Peak list (12 most intense, 2θ = 10–90°, sorted by position)
2θ/deg	I (rel.)
12.4	15
20.4	100
23.9	99
25.0	14
31.6	20
32.5	78
35.7	45
46.6	29
49.0	31
55.8	41
62.1	29
64.1	15

=====

# 3
The following is a calculated XRD peak list of SrMnP2O7. It was derived from DFT lattice parameters and positions (PBE+U), using Cu Kα.
No peak broadening, texture or thermal motion is included.

Cell and atoms:
```
SrMnP2O7
1.0
5.4428 0.0000 0.0000
0.0000 8.5311 0.0000
-5.3424 0.0000 12.9977
Sr Mn P O
4 4 8 28
Direct
0.0122 0.1699 0.2260
0.0122 0.3301 0.7260
0.9878 0.6699 0.2740
0.9878 0.8301 0.7740
0.2815 0.6482 0.6012
0.2815 0.8518 0.1012
0.7185 0.1482 0.8988
0.7185 0.3518 0.3988
0.3286 0.2084 0.0232
0.3286 0.2916 0.5232
0.4276 0.0331 0.6716
0.4276 0.4669 0.1716
0.5724 0.5331 0.8284
0.5724 0.9669 0.3284
0.6714 0.7084 0.4768
0.6714 0.7916 0.9768
0.1183 0.2034 0.9134
0.1183 0.2966 0.4134
0.2172 0.0576 0.7177
0.2172 0.4424 0.2177
0.2447 0.1051 0.0961
0.2447 0.3949 0.5961
0.3071 0.6132 0.7635
0.3071 0.8868 0.2635
0.3188 0.1109 0.5579
0.3188 0.3891 0.0579
0.3864 0.6726 0.4673
0.3864 0.8274 0.9673
0.4801 0.6386 0.1556
0.4801 0.8614 0.6556
0.5199 0.1386 0.3444
0.5199 0.3614 0.8444
0.6136 0.1726 0.0327
0.6136 0.3274 0.5327
0.6812 0.6109 0.9421
0.6812 0.8891 0.4421
0.6929 0.1132 0.7365
0.6929 0.3868 0.2365
0.7553 0.6051 0.4039
0.7553 0.8949 0.9039
0.7828 0.5576 0.7823
0.7828 0.9424 0.2823
0.8817 0.7034 0.5866
0.8817 0.7966 0.0866
```

Peak list (12 most intense, 2θ = 10–90°, sorted by position)
2θ/deg	I (rel.)
13.6	35
26.2	100
26.5	71
27.4	58
28.4	61
29.4	38
30.0	34
32.2	41
32.9	52
33.7	37
43.1	33
44.6	36

=====

# 4
The following is a calculated XRD peak list of SrMnZnP2O8. It was derived from DFT lattice parameters and positions (PBE+U), using Cu Kα.
No peak broadening, texture or thermal motion is included.

Cell and atoms:
```
SrMnZnP2O8
1.0
5.5331 0.0000 0.0000
-0.9673 6.9607 0.0000
-2.5468 -3.2855 8.5880
Sr Mn Zn P O
2 2 2 4 16
Direct
0.1954 0.2534 0.4547
0.8046 0.7466 0.5453
0.0679 0.7747 0.9402
0.9321 0.2253 0.0598
0.3513 0.2323 0.8568
0.6487 0.7677 0.1432
0.1659 0.6950 0.2768
0.4634 0.7803 0.7988
0.5366 0.2197 0.2012
0.8341 0.3050 0.7232
0.0244 0.3075 0.8824
0.1014 0.4764 0.2804
0.1106 0.8555 0.4073
0.2537 0.0861 0.1387
0.2633 0.9209 0.8029
0.3999 0.6312 0.6332
0.4297 0.6722 0.9180
0.4531 0.7534 0.2847
0.5469 0.2466 0.7153
0.5703 0.3278 0.0820
0.6001 0.3688 0.3668
0.7367 0.0791 0.1971
0.7463 0.9139 0.8613
0.8894 0.1445 0.5927
0.8986 0.5236 0.7196
0.9756 0.6925 0.1176
```

Peak list (12 most intense, 2θ = 10–90°, sorted by position)
2θ/deg	I (rel.)
21.5	14
27.4	100
28.9	24
30.3	67
31.1	47
32.7	47
33.0	40
33.7	22
45.9	26
49.5	15
49.9	20
56.6	17

=====

# 5
The following is a calculated XRD peak list of Mn3VTe2P6O24. It was derived from DFT lattice parameters and positions (PBE+U), using Cu Kα.
No peak broadening, texture or thermal motion is included.

Cell and atoms:
```
Mn3VTe2P6O24
1.0
4.4316 2.5586 7.2906
-4.4316 2.5586 7.2906
0.0000 -5.1172 7.2906
Mn V Te P O
3 1 2 6 24
Direct
0.0000 0.0000 0.0000
0.1822 0.1822 0.1822
0.6916 0.6916 0.6916
0.4953 0.4953 0.4953
0.3260 0.3260 0.3260
0.8370 0.8370 0.8370
0.1064 0.7959 0.4107
0.3047 0.6013 0.8905
0.4107 0.1064 0.7959
0.6013 0.8905 0.3047
0.7959 0.4107 0.1064
0.8905 0.3047 0.6013
0.0519 0.8253 0.2597
0.0901 0.2862 0.4265
0.1088 0.7447 0.9118
0.1446 0.9520 0.3932
0.2597 0.0519 0.8253
0.2689 0.6071 0.4373
0.2862 0.4265 0.0901
0.3647 0.5244 0.7407
0.3932 0.1446 0.9520
0.4265 0.0901 0.2862
0.4373 0.2689 0.6071
0.4432 0.6608 0.8756
0.5244 0.7407 0.3647
0.6071 0.4373 0.2689
0.6104 0.9443 0.7606
0.6608 0.8756 0.4432
0.7407 0.3647 0.5244
0.7447 0.9118 0.1088
0.7606 0.6104 0.9443
0.8253 0.2597 0.0519
0.8756 0.4432 0.6608
0.9118 0.1088 0.7447
0.9443 0.7606 0.6104
0.9520 0.3932 0.1446
```

Peak list (12 most intense, 2θ = 10–90°, sorted by position)
2θ/deg	I (rel.)
14.1	27
20.0	100
23.5	68
24.6	23
31.8	90
31.9	18
35.1	50
43.2	24
45.6	15
48.1	37
54.8	25
60.9	30

=====

# 6
The following is a calculated XRD peak list of TiMn5P6O24. It was derived from DFT lattice parameters and positions (PBE+U), using Cu Kα.
No peak broadening, texture or thermal motion is included.

Cell and atoms:
```
TiMn5P6O24
1.0
4.3120 2.4895 7.0604
-4.3120 2.4895 7.0604
0.0000 -4.9790 7.0604
Ti Mn P O
1 5 6 24
Direct
0.0000 0.0000 0.0000
0.2110 0.2110 0.2110
0.3539 0.3539 0.3539
0.4981 0.4981 0.4981
0.7103 0.7103 0.7103
0.8544 0.8544 0.8544
0.1050 0.3989 0.8139
0.3130 0.8952 0.6041
0.3989 0.8139 0.1050
0.6041 0.3130 0.8952
0.8139 0.1050 0.3989
0.8952 0.6041 0.3130
0.0394 0.2372 0.8637
0.0893 0.4377 0.2994
0.1166 0.9216 0.7683
0.1608 0.3684 0.9716
0.2372 0.8637 0.0394
0.2702 0.4020 0.6213
0.2994 0.0893 0.4377
0.3388 0.7342 0.5558
0.3684 0.9716 0.1608
0.4020 0.6213 0.2702
0.4377 0.2994 0.0893
0.4723 0.8640 0.6586
0.5558 0.3388 0.7342
0.5936 0.7933 0.9423
0.6213 0.2702 0.4020
0.6586 0.4723 0.8640
0.7342 0.5558 0.3388
0.7683 0.1166 0.9216
0.7933 0.9423 0.5936
0.8637 0.0394 0.2372
0.8640 0.6586 0.4723
0.9216 0.7683 0.1166
0.9423 0.5936 0.7933
0.9716 0.1608 0.3684
```

Peak list (12 most intense, 2θ = 10–90°, sorted by position)
2θ/deg	I (rel.)
20.6	83
24.2	100
25.3	14
32.0	16
32.8	73
36.1	36
47.1	29
49.5	25
56.4	13
56.5	24
62.8	18
76.5	11